Structure and simulated powder diffraction line list of Ag6GeS4Br2 (a DFT-relaxed cell (PBE, Alexandria); copper Kα).
Peak positions follow from Bragg's law for the DFT cell and can differ from measured ones.

Largest 10 diffraction maxima, low angle first, 10° ≤ 2θ ≤ 80°:
2θ (°)  I/Imax
27.22  14
27.65  44
28.91  26
29.77  100
34.45  15
37.85  16
39.22  35
40.90  13
43.77  19
50.27  15

Structure:
a b c (Å): 6.4481 7.8575 23.7362
angles (deg): 90.00 90.00 90.00
Atoms (fractional coordinates):
Ag 0.0000 0.0000 0.0000
Ag 0.0000 0.5000 0.0000
Ag 0.0200 0.0657 0.4368
Ag 0.0200 0.4343 0.4368
Ag 0.0268 0.7500 0.1456
Ag 0.1027 0.0447 0.2787
Ag 0.1027 0.4553 0.2787
Ag 0.3973 0.5447 0.7787
Ag 0.3973 0.9553 0.7787
Ag 0.4732 0.2500 0.6456
Ag 0.4800 0.5657 0.9368
Ag 0.4800 0.9343 0.9368
Ag 0.5000 0.0000 0.5000
Ag 0.5000 0.5000 0.5000
Ag 0.5200 0.0657 0.0632
Ag 0.5200 0.4343 0.0632
Ag 0.5268 0.7500 0.3544
Ag 0.6027 0.0447 0.2213
Ag 0.6027 0.4553 0.2213
Ag 0.8973 0.5447 0.7213
Ag 0.8973 0.9553 0.7213
Ag 0.9732 0.2500 0.8544
Ag 0.9800 0.5657 0.5632
Ag 0.9800 0.9343 0.5632
Ge 0.0072 0.2500 0.1314
Ge 0.4928 0.7500 0.6314
Ge 0.5072 0.2500 0.3686
Ge 0.9928 0.7500 0.8686
S 0.1848 0.2500 0.0470
S 0.1897 0.5136 0.8708
S 0.1897 0.9864 0.8708
S 0.2267 0.2500 0.2038
S 0.2733 0.7500 0.7038
S 0.3103 0.0136 0.3708
S 0.3103 0.4864 0.3708
S 0.3152 0.7500 0.5470
S 0.6848 0.2500 0.4530
S 0.6897 0.5136 0.6292
S 0.6897 0.9864 0.6292
S 0.7267 0.2500 0.2962
S 0.7733 0.7500 0.7962
S 0.8103 0.0136 0.1292
S 0.8103 0.4864 0.1292
S 0.8152 0.7500 0.9530
Br 0.1325 0.2500 0.7098
Br 0.1696 0.2500 0.5443
Br 0.3304 0.7500 0.0443
Br 0.3675 0.7500 0.2098
Br 0.6325 0.2500 0.7902
Br 0.6696 0.2500 0.9557
Br 0.8304 0.7500 0.4557
Br 0.8675 0.7500 0.2902